Starting from a crystal structure in Alexandria, relaxed with GGA-PBE, the PXRD pattern of CaPm3Nd4S8 was simulated for copper Kα.
Neutral-atom scattering factors, no anomalous dispersion.

Largest 10 diffraction maxima, by angle, 2θ = 10–80°:
d/Å	two_theta	I_rel
6.614	13.4	5
3.307	27.0	68
2.864	31.2	100
2.025	44.7	72
1.727	53.0	34
1.654	55.6	25
1.432	65.1	12
1.315	71.8	7
1.313	71.9	7
1.281	74.0	32

Cell and atoms:
```
CaPm3Nd4S8
1.0
4.0480 2.3371 6.6223
-4.0480 2.3371 6.6223
0.0000 -4.6742 6.6223
Ca Pm Nd S
1 3 4 8
direct
0.0000 0.0000 0.0000
0.0000 0.5000 0.5000
0.5000 0.0000 0.5000
0.5000 0.5000 0.0000
0.0000 0.0000 0.5000
0.0000 0.5000 0.0000
0.5000 0.0000 0.0000
0.5000 0.5000 0.5000
0.2464 0.2464 0.7515
0.2464 0.7515 0.2464
0.2485 0.7536 0.7536
0.2511 0.2511 0.2511
0.7489 0.7489 0.7489
0.7515 0.2464 0.2464
0.7536 0.2485 0.7536
0.7536 0.7536 0.2485
```

Starting from a crystal structure in Alexandria, relaxed with GGA-PBE, the PXRD pattern of Dy2Si4GePt3 was simulated for copper Kα.
Neutral-atom scattering factors, no anomalous dispersion.

Largest 10 diffraction maxima, by angle, 2θ = 10–80°:
d/Å	two_theta	I_rel
3.208	27.8	45
3.005	29.7	34
2.873	31.1	66
2.587	34.7	100
2.561	35.0	94
2.125	42.5	80
1.778	51.4	46
1.642	56.0	51
1.503	61.7	29
1.364	68.9	32

Cell and atoms:
```
Dy2Si4GePt3
1.0
4.2501 0.0000 0.0000
0.0000 4.2501 0.0000
0.0000 0.0000 9.7832
Dy Si Ge Pt
2 4 1 3
direct
0.0000 0.5000 0.2457
0.5000 0.0000 0.7543
0.0000 0.0000 0.0000
0.0000 0.5000 0.6379
0.5000 0.0000 0.3621
0.5000 0.5000 0.0000
0.0000 0.0000 0.5000
0.0000 0.5000 0.8786
0.5000 0.0000 0.1214
0.5000 0.5000 0.5000
```

Please write out number 1 again, unchanged.
Starting from a crystal structure in Alexandria, relaxed with GGA-PBE, the PXRD pattern of CaPm3Nd4S8 was simulated for copper Kα.
Neutral-atom scattering factors, no anomalous dispersion.

Largest 10 diffraction maxima, by angle, 2θ = 10–80°:
d/Å	two_theta	I_rel
6.614	13.4	5
3.307	27.0	68
2.864	31.2	100
2.025	44.7	72
1.727	53.0	34
1.654	55.6	25
1.432	65.1	12
1.315	71.8	7
1.313	71.9	7
1.281	74.0	32

Cell and atoms:
```
CaPm3Nd4S8
1.0
4.0480 2.3371 6.6223
-4.0480 2.3371 6.6223
0.0000 -4.6742 6.6223
Ca Pm Nd S
1 3 4 8
direct
0.0000 0.0000 0.0000
0.0000 0.5000 0.5000
0.5000 0.0000 0.5000
0.5000 0.5000 0.0000
0.0000 0.0000 0.5000
0.0000 0.5000 0.0000
0.5000 0.0000 0.0000
0.5000 0.5000 0.5000
0.2464 0.2464 0.7515
0.2464 0.7515 0.2464
0.2485 0.7536 0.7536
0.2511 0.2511 0.2511
0.7489 0.7489 0.7489
0.7515 0.2464 0.2464
0.7536 0.2485 0.7536
0.7536 0.7536 0.2485
```

Question: Which formula does entry 1 have?
Answer: CaPm3Nd4S8

What did the first record say?
Starting from a crystal structure in Alexandria, relaxed with GGA-PBE, the PXRD pattern of CaPm3Nd4S8 was simulated for copper Kα.
Neutral-atom scattering factors, no anomalous dispersion.

Largest 10 diffraction maxima, by angle, 2θ = 10–80°:
d/Å	two_theta	I_rel
6.614	13.4	5
3.307	27.0	68
2.864	31.2	100
2.025	44.7	72
1.727	53.0	34
1.654	55.6	25
1.432	65.1	12
1.315	71.8	7
1.313	71.9	7
1.281	74.0	32

Cell and atoms:
```
CaPm3Nd4S8
1.0
4.0480 2.3371 6.6223
-4.0480 2.3371 6.6223
0.0000 -4.6742 6.6223
Ca Pm Nd S
1 3 4 8
direct
0.0000 0.0000 0.0000
0.0000 0.5000 0.5000
0.5000 0.0000 0.5000
0.5000 0.5000 0.0000
0.0000 0.0000 0.5000
0.0000 0.5000 0.0000
0.5000 0.0000 0.0000
0.5000 0.5000 0.5000
0.2464 0.2464 0.7515
0.2464 0.7515 0.2464
0.2485 0.7536 0.7536
0.2511 0.2511 0.2511
0.7489 0.7489 0.7489
0.7515 0.2464 0.2464
0.7536 0.2485 0.7536
0.7536 0.7536 0.2485
```